(1)
# NaLaVSbO6
Simulated powder XRD pattern, Cu Kα, 1.54184 Å. Input: the PBE+U geometry in the Materials Project.

Main lines, by intensity (5° ≤ 2θ ≤ 70°):
h k l	2θ (°)	d [Å]	I_rel
2 2 0	31.61	2.830	100
1 1 1	19.20	4.622	45
4 2 2	56.30	1.634	39
4 0 0	45.31	2.001	37
3 1 1	37.25	2.414	25
4 4 0	66.02	1.415	21

Cell: 8.005 8.005 8.005 Å, 90.00 90.00 90.00°
Space group F-43m (No. 216)
Asymmetric unit:
Na 0.000 0.000 0.000
La 0.000 0.000 0.500
V 0.250 0.250 0.750
Sb 0.250 0.250 0.250
O 0.001 0.250 0.250

***

(2)
# CaFeGe2O6
Simulated powder XRD pattern, Cu Kα, 1.54184 Å. Input: the PBE+U geometry in the Materials Project.

Main lines, by intensity (5° ≤ 2θ ≤ 70°):
h k l	2θ (°)	d [Å]	I_rel
1 2 1	28.70	3.110	100
3 2 -1	33.93	2.642	71
0 3 1	33.78	2.653	69
3 1 0	28.27	3.157	50
2 1 1	29.33	3.045	46
0 6 0	59.95	1.543	42

Cell: 10.417 9.264 5.364 Å, 90.00 104.72 90.00°
Space group P2_1/c (No. 14)
Asymmetric unit:
Ca 0.226 0.047 0.029
Fe 0.264 0.661 0.031
Ge 0.015 0.149 0.403
Ge 0.456 0.154 0.670
O 0.081 0.523 0.848
O 0.105 0.246 0.687
O 0.148 0.672 0.298
O 0.361 0.013 0.735
O 0.370 0.648 0.742
O 0.400 0.192 0.326

***

(3)
# Li9Co7O16
Simulated powder XRD pattern, Cu Kα, 1.54184 Å. Input: the PBE+U geometry in the Materials Project.

Main lines, by intensity (5° ≤ 2θ ≤ 70°):
h k l	2θ (°)	d [Å]	I_rel
2 0 0	18.28	4.853	100
3 1 -2	43.45	2.083	56
1 1 -2	36.01	2.494	28
2 0 4	43.94	2.061	26
5 1 2	63.11	1.473	15
1 1 -6	63.91	1.457	14

Cell: 9.871 2.924 10.080 Å, 90.00 100.46 90.00°
Space group P2/m (No. 10)
Asymmetric unit:
Li 0.000 0.000 0.000
Li 0.245 0.500 0.122
Li 0.247 0.000 0.874
Li 0.248 0.000 0.374
Li 0.252 0.500 0.626
Co 0.000 0.000 0.500
Co 0.002 0.500 0.761
Co 0.498 0.000 0.249
Co 0.500 0.500 0.000
Co 0.500 0.500 0.500
O 0.110 0.500 0.430
O 0.112 0.000 0.684
O 0.113 0.500 0.917
O 0.115 0.000 0.195
O 0.382 0.000 0.061
O 0.384 0.000 0.562
O 0.384 0.500 0.314
O 0.386 0.500 0.815

***

(4)
# BaCrO4
Simulated powder XRD pattern, Cu Kα, 1.54184 Å. Input: the PBE+U geometry in the Materials Project.

Main lines, by intensity (5° ≤ 2θ ≤ 70°):
h k l	2θ (°)	d [Å]	I_rel
2 1 1	27.65	3.226	100
2 1 0	24.88	3.578	89
4 0 1	41.07	2.198	88
1 1 2	30.26	2.954	59
0 2 0	31.47	2.843	57
1 0 2	25.77	3.457	52

Cell: 9.208 5.686 7.460 Å, 90.00 90.00 90.00°
Space group Pnma (No. 62)
Asymmetric unit:
Ba 0.184 0.250 0.155
Cr 0.056 0.250 0.692
O 0.080 0.011 0.820
O 0.112 0.750 0.386
O 0.179 0.250 0.530